1.
Computed X-ray powder pattern
Compound: Fe2Sn
Radiation: a wavelength of 1.5418 Å
Structure: a cell relaxed with PBE
Lines closer than 0.1° are merged.

Lattice parameters (Å, degrees): 4.4117 4.4117 5.2671 90.00 90.00 120.00
Sites, in units of the cell vectors:
Fe (0.0000, 0.0000, 0.0000)
Fe (0.0000, 0.0000, 0.5000)
Fe (0.3333, 0.6667, 0.2500)
Fe (0.6667, 0.3333, 0.7500)
Sn (0.3333, 0.6667, 0.7500)
Sn (0.6667, 0.3333, 0.2500)

Main lines, in order of falling intensity (15 to 90 degrees two-theta):
two_theta  Rel. int.
40.9  100
41.7  73
28.9  25
75.0  24
59.8  24
54.2  23
86.0  23
74.5  16
34.0  14
88.7  11

---

2.
Computed X-ray powder pattern
Compound: La2CdS4
Radiation: a wavelength of 1.5418 Å
Structure: a cell relaxed with PBE
Lines closer than 0.1° are merged.

Lattice parameters (Å, degrees): 7.5630 7.5630 7.5630 110.78 110.78 106.89
Sites, in units of the cell vectors:
La (0.0175, 0.6250, 0.8925)
La (0.3750, 0.2675, 0.3925)
La (0.7325, 0.1250, 0.1075)
La (0.8750, 0.9825, 0.6075)
Cd (0.2500, 0.7500, 0.5000)
Cd (0.5000, 0.5000, 0.0000)
S (0.0098, 0.8815, 0.2658)
S (0.1185, 0.3844, 0.1283)
S (0.1344, 0.3685, 0.6283)
S (0.2561, 0.9902, 0.8717)
S (0.4939, 0.8656, 0.2342)
S (0.6156, 0.7439, 0.7342)
S (0.6315, 0.2598, 0.7658)
S (0.7402, 0.5061, 0.3717)

Main lines, in order of falling intensity (15 to 90 degrees two-theta):
two_theta  Rel. int.
25.2  100
24.6  73
32.8  63
31.6  55
33.0  53
38.0  38
48.8  37
38.7  32
45.5  29
39.1  29

---

3.
Computed X-ray powder pattern
Compound: Ce7Ge2Pd4
Radiation: a wavelength of 1.5418 Å
Structure: a cell relaxed with PBE
Lines closer than 0.1° are merged.

Lattice parameters (Å, degrees): 8.1886 11.1877 14.4255 90.05 90.03 110.62
Sites, in units of the cell vectors:
Ce (0.0000, 0.0000, 0.0000)
Ce (0.0033, 0.4644, 0.2621)
Ce (0.0264, 0.0470, 0.3992)
Ce (0.0683, 0.7185, 0.1430)
Ce (0.1110, 0.3744, 0.0348)
Ce (0.2009, 0.2140, 0.7487)
Ce (0.2546, 0.5193, 0.6756)
Ce (0.3453, 0.3599, 0.3886)
Ce (0.3893, 0.0151, 0.2808)
Ce (0.4316, 0.6882, 0.0252)
Ce (0.4539, 0.2684, 0.1622)
Ce (0.4570, 0.7328, 0.4242)
Ce (0.4756, 0.0082, 0.0338)
Ce (0.4818, 0.2255, 0.5338)
Ce (0.4995, 0.5003, 0.9242)
Ce (0.5033, 0.9644, 0.6624)
Ce (0.5245, 0.5454, 0.5254)
Ce (0.5674, 0.2187, 0.7813)
Ce (0.6116, 0.8741, 0.8894)
Ce (0.7004, 0.7134, 0.1754)
Ce (0.7549, 0.0196, 0.2481)
Ce (0.8452, 0.8582, 0.5361)
Ce (0.8911, 0.5158, 0.6439)
Ce (0.9328, 0.1879, 0.8994)
Ce (0.9539, 0.7678, 0.7619)
Ce (0.9573, 0.2344, 0.5007)
Ce (0.9761, 0.5082, 0.8903)
Ce (0.9819, 0.7246, 0.3903)
Ge (0.1655, 0.7916, 0.9485)
Ge (0.1761, 0.7458, 0.5842)
Ge (0.2805, 0.9871, 0.8402)
Ge (0.2916, 0.9414, 0.4755)
Ge (0.6657, 0.2916, 0.9756)
Ge (0.6765, 0.2462, 0.3402)
Ge (0.7808, 0.4870, 0.0839)
Ge (0.7919, 0.4419, 0.4489)
Pd (0.0780, 0.9763, 0.1915)
Pd (0.1046, 0.2374, 0.2349)
Pd (0.1325, 0.5225, 0.4740)
Pd (0.1567, 0.0159, 0.6189)
Pd (0.3004, 0.7172, 0.8055)
Pd (0.3245, 0.2106, 0.9504)
Pd (0.3528, 0.4960, 0.1891)
Pd (0.3795, 0.7572, 0.2326)
Pd (0.5779, 0.4762, 0.7324)
Pd (0.6043, 0.7370, 0.6894)
Pd (0.6327, 0.0226, 0.4504)
Pd (0.6566, 0.5158, 0.3057)
Pd (0.8008, 0.2177, 0.1185)
Pd (0.8248, 0.7109, 0.9737)
Pd (0.8532, 0.9960, 0.7352)
Pd (0.8797, 0.2574, 0.6917)

Main lines, in order of falling intensity (15 to 90 degrees two-theta):
two_theta  Rel. int.
34.3  100
35.7  88
33.2  88
35.4  87
30.5  77
35.5  59
33.6  54
37.2  53
28.6  51
34.1  51

---

4.
Computed X-ray powder pattern
Compound: CeSF
Radiation: a wavelength of 1.5418 Å
Structure: a cell relaxed with PBE
Lines closer than 0.1° are merged.

Lattice parameters (Å, degrees): 3.9454 3.9454 7.0226 90.00 90.00 90.00
Sites, in units of the cell vectors:
Ce (0.2500, 0.2500, 0.2349)
Ce (0.7500, 0.7500, 0.7651)
S (0.2500, 0.2500, 0.6474)
S (0.7500, 0.7500, 0.3526)
F (0.2500, 0.7500, 0.0000)
F (0.7500, 0.2500, 0.0000)

Main lines, in order of falling intensity (15 to 90 degrees two-theta):
two_theta  Rel. int.
25.9  100
41.3  63
32.1  54
45.0  38
25.4  34
46.0  31
53.6  29
66.3  24
53.3  18
82.0  16

---

5.
Computed X-ray powder pattern
Compound: Ca2B2O5
Radiation: a wavelength of 1.5418 Å
Structure: a cell relaxed with PBE
Lines closer than 0.1° are merged.

Lattice parameters (Å, degrees): 7.2752 5.2198 11.6436 90.00 92.48 90.00
Sites, in units of the cell vectors:
Ca (0.1173, 0.0667, 0.3663)
Ca (0.1173, 0.4333, 0.8663)
Ca (0.3775, 0.6009, 0.1652)
Ca (0.3775, 0.8991, 0.6652)
Ca (0.6225, 0.1009, 0.3348)
Ca (0.6225, 0.3991, 0.8348)
Ca (0.8827, 0.5667, 0.1337)
Ca (0.8827, 0.9333, 0.6337)
B (0.1645, 0.0629, 0.0888)
B (0.1645, 0.4371, 0.5888)
B (0.3444, 0.5777, 0.4040)
B (0.3444, 0.9223, 0.9040)
B (0.6556, 0.0777, 0.0960)
B (0.6556, 0.4223, 0.5960)
B (0.8355, 0.5629, 0.4112)
B (0.8355, 0.9371, 0.9112)
O (0.0935, 0.5801, 0.6749)
O (0.0935, 0.9199, 0.1749)
O (0.1442, 0.1793, 0.5709)
O (0.1442, 0.3207, 0.0709)
O (0.2744, 0.5927, 0.5158)
O (0.2744, 0.9073, 0.0158)
O (0.3531, 0.1440, 0.8428)
O (0.3531, 0.3560, 0.3428)
O (0.3901, 0.6925, 0.8569)
O (0.3901, 0.8075, 0.3569)
O (0.6099, 0.1925, 0.6431)
O (0.6099, 0.3075, 0.1431)
O (0.6469, 0.6440, 0.6572)
O (0.6469, 0.8560, 0.1572)
O (0.7256, 0.0927, 0.9842)
O (0.7256, 0.4073, 0.4842)
O (0.8558, 0.6793, 0.9291)
O (0.8558, 0.8207, 0.4291)
O (0.9065, 0.0801, 0.8251)
O (0.9065, 0.4199, 0.3251)

Main lines, in order of falling intensity (15 to 90 degrees two-theta):
two_theta  Rel. int.
31.2  100
30.7  86
30.0  44
28.7  40
49.5  28
48.4  25
35.3  23
50.2  21
48.8  18
55.1  18

---

6.
Computed X-ray powder pattern
Compound: NdO2
Radiation: a wavelength of 1.5418 Å
Structure: a cell relaxed with PBE
Lines closer than 0.1° are merged.

Lattice parameters (Å, degrees): 6.7514 4.0534 6.5571 90.00 97.86 90.00
Sites, in units of the cell vectors:
Nd (0.1982, 0.0000, 0.2304)
Nd (0.3018, 0.5000, 0.7696)
Nd (0.6982, 0.5000, 0.2304)
Nd (0.8018, 0.0000, 0.7696)
O (0.0789, 0.5000, 0.4289)
O (0.1523, 0.0000, 0.8587)
O (0.3477, 0.5000, 0.1413)
O (0.4211, 0.0000, 0.5711)
O (0.5789, 0.0000, 0.4289)
O (0.6523, 0.5000, 0.8587)
O (0.8477, 0.0000, 0.1413)
O (0.9211, 0.5000, 0.5711)

Main lines, in order of falling intensity (15 to 90 degrees two-theta):
two_theta  Rel. int.
28.3  100
27.5  41
30.1  34
26.7  31
47.9  27
46.5  20
44.7  19
31.7  18
35.8  15
46.9  14

---

7.
Computed X-ray powder pattern
Compound: Te2MoW2Se4
Radiation: a wavelength of 1.5418 Å
Structure: a cell relaxed with PBE
Lines closer than 0.1° are merged.

Lattice parameters (Å, degrees): 3.4023 3.4023 31.4343 90.00 90.00 120.00
Sites, in units of the cell vectors:
Te (0.0000, 0.0000, 0.0000)
Te (0.0000, 0.0000, 0.1197)
Mo (0.0000, 0.0000, 0.8285)
W (0.6667, 0.3333, 0.0599)
W (0.6667, 0.3333, 0.5972)
Se (0.0000, 0.0000, 0.5446)
Se (0.0000, 0.0000, 0.6498)
Se (0.6667, 0.3333, 0.7761)
Se (0.6667, 0.3333, 0.8809)

Main lines, in order of falling intensity (15 to 90 degrees two-theta):
two_theta  Rel. int.
36.5  100
44.1  84
34.9  83
30.3  57
53.9  55
42.0  38
32.5  36
40.0  26
76.0  24
55.2  21

---

8.
Computed X-ray powder pattern
Compound: In3Ru
Radiation: a wavelength of 1.5418 Å
Structure: a cell relaxed with PBE
Lines closer than 0.1° are merged.

Lattice parameters (Å, degrees): 7.0824 7.0824 7.3796 90.00 90.00 90.00
Sites, in units of the cell vectors:
In (0.0000, 0.5000, 0.0000)
In (0.0000, 0.5000, 0.5000)
In (0.1547, 0.1547, 0.2383)
In (0.1547, 0.1547, 0.7617)
In (0.3453, 0.6547, 0.2617)
In (0.3453, 0.6547, 0.7383)
In (0.5000, 0.0000, 0.0000)
In (0.5000, 0.0000, 0.5000)
In (0.6547, 0.3453, 0.2617)
In (0.6547, 0.3453, 0.7383)
In (0.8453, 0.8453, 0.2383)
In (0.8453, 0.8453, 0.7617)
Ru (0.1551, 0.8449, 0.0000)
Ru (0.3449, 0.3449, 0.5000)
Ru (0.6551, 0.6551, 0.5000)
Ru (0.8449, 0.1551, 0.0000)

Main lines, in order of falling intensity (15 to 90 degrees two-theta):
two_theta  Rel. int.
37.4  100
40.3  56
30.1  34
17.4  24
65.6  24
35.1  24
77.0  20
49.4  16
28.2  16
59.3  13

---

9.
Computed X-ray powder pattern
Compound: Ho3Os
Radiation: a wavelength of 1.5418 Å
Structure: a cell relaxed with PBE
Lines closer than 0.1° are merged.

Lattice parameters (Å, degrees): 7.3738 9.0503 6.3015 90.00 90.00 90.00
Sites, in units of the cell vectors:
Ho (0.0390, 0.2500, 0.1315)
Ho (0.1762, 0.0632, 0.6679)
Ho (0.1762, 0.4368, 0.6679)
Ho (0.3238, 0.5632, 0.1679)
Ho (0.3238, 0.9368, 0.1679)
Ho (0.4610, 0.7500, 0.6315)
Ho (0.5390, 0.2500, 0.3685)
Ho (0.6762, 0.0632, 0.8321)
Ho (0.6762, 0.4368, 0.8321)
Ho (0.8238, 0.5632, 0.3321)
Ho (0.8238, 0.9368, 0.3321)
Ho (0.9610, 0.7500, 0.8685)
Os (0.1160, 0.7500, 0.4592)
Os (0.3840, 0.2500, 0.9592)
Os (0.6160, 0.7500, 0.0408)
Os (0.8840, 0.2500, 0.5408)

Main lines, in order of falling intensity (15 to 90 degrees two-theta):
two_theta  Rel. int.
32.4  100
35.2  85
34.5  78
32.9  72
31.3  67
49.4  52
38.6  51
39.3  47
29.8  46
30.9  40

---

10.
Computed X-ray powder pattern
Compound: MnTlI3
Radiation: a wavelength of 1.5418 Å
Structure: a cell relaxed with PBE
Lines closer than 0.1° are merged.

Lattice parameters (Å, degrees): 10.2400 4.3229 16.4310 90.00 90.00 90.00
Sites, in units of the cell vectors:
Mn (0.1621, 0.2500, 0.0558)
Mn (0.3379, 0.7500, 0.5558)
Mn (0.6621, 0.2500, 0.4442)
Mn (0.8379, 0.7500, 0.9442)
Tl (0.0563, 0.7500, 0.3247)
Tl (0.4437, 0.2500, 0.8247)
Tl (0.5563, 0.7500, 0.1753)
Tl (0.9437, 0.2500, 0.6753)
I (0.0200, 0.2500, 0.8978)
I (0.1730, 0.2500, 0.4944)
I (0.2196, 0.7500, 0.7100)
I (0.2804, 0.2500, 0.2100)
I (0.3270, 0.7500, 0.9944)
I (0.4800, 0.7500, 0.3978)
I (0.5200, 0.2500, 0.6022)
I (0.6730, 0.2500, 0.0056)
I (0.7196, 0.7500, 0.7900)
I (0.7804, 0.2500, 0.2900)
I (0.8270, 0.7500, 0.5056)
I (0.9800, 0.7500, 0.1022)

Main lines, in order of falling intensity (15 to 90 degrees two-theta):
two_theta  Rel. int.
27.5  100
29.1  57
27.7  54
28.5  49
27.8  36
41.8  29
31.3  27
28.3  23
40.2  21
44.8  20

---

11.
Computed X-ray powder pattern
Compound: Mg6TiB
Radiation: a wavelength of 1.5418 Å
Structure: a cell relaxed with PBE
Lines closer than 0.1° are merged.

Lattice parameters (Å, degrees): 4.5674 6.2987 10.8514 90.00 90.00 90.00
Sites, in units of the cell vectors:
Mg (0.0000, 0.0000, 0.0000)
Mg (0.0000, 0.2375, 0.2505)
Mg (0.0000, 0.2625, 0.7505)
Mg (0.0000, 0.5000, 0.5000)
Mg (0.0000, 0.7375, 0.7505)
Mg (0.0000, 0.7625, 0.2505)
Mg (0.5000, 0.0000, 0.8334)
Mg (0.5000, 0.2381, 0.5716)
Mg (0.5000, 0.2619, 0.0716)
Mg (0.5000, 0.5000, 0.3334)
Mg (0.5000, 0.7381, 0.0716)
Mg (0.5000, 0.7619, 0.5716)
Ti (0.0000, 0.0000, 0.4778)
Ti (0.0000, 0.5000, 0.9778)
B (0.5000, 0.0000, 0.3869)
B (0.5000, 0.5000, 0.8869)

Main lines, in order of falling intensity (15 to 90 degrees two-theta):
two_theta  Rel. int.
38.5  100
38.6  50
32.9  33
39.5  33
52.3  22
70.9  22
16.3  20
25.5  17
58.9  15
73.2  15